LaPmI6: theoretical PXRD pattern (Cu Kα (λ = 1.5418 Å)), based on DFT lattice parameters and positions (PBE).
Lines closer than 0.1° are merged.

Cell and atoms:
Lattice parameters (Å, degrees): 8.447 8.447 8.447 55.28 55.28 55.28
Fractional positions:
La (0.000, 0.000, 0.000)
Pm (0.500, 0.500, 0.500)
I (0.090, 0.417, 0.746)
I (0.254, 0.910, 0.583)
I (0.417, 0.746, 0.090)
I (0.583, 0.254, 0.910)
I (0.746, 0.090, 0.417)
I (0.910, 0.583, 0.254)

Principal peaks in the range 2θ from 10° to 90°, in order of falling intensity:
Position (°2θ)  intensity
25.94  100
33.99  50
39.85  40
15.46  34
44.58  23
48.16  18
66.80  17
64.23  15

Zr2As: theoretical PXRD pattern (Cu Kα (λ = 1.5418 Å)), based on DFT lattice parameters and positions (PBE).
Lines closer than 0.1° are merged.

Cell and atoms:
Lattice parameters (Å, degrees): 5.319 5.319 6.915 97.40 97.40 39.54
Fractional positions:
Zr (0.000, 0.000, 0.000)
Zr (0.073, 0.073, 0.552)
Zr (0.336, 0.336, 0.279)
Zr (0.725, 0.725, 0.895)
As (0.376, 0.376, 0.684)
As (0.624, 0.624, 0.269)

Principal peaks in the range 2θ from 10° to 90°, in order of falling intensity:
Position (°2θ)  intensity
36.90  100
36.45  98
30.00  38
33.78  31
50.74  26
40.56  23
41.96  22
39.47  21

Pm3Pd3Pb2: theoretical PXRD pattern (Cu Kα (λ = 1.5418 Å)), based on DFT lattice parameters and positions (PBE).
Lines closer than 0.1° are merged.

Cell and atoms:
Lattice parameters (Å, degrees): 11.089 11.089 11.089 160.77 153.64 32.83
Fractional positions:
Pm (0.000, 0.000, 0.000)
Pm (0.380, 0.880, 0.500)
Pm (0.620, 0.120, 0.500)
Pd (0.110, 0.610, 0.500)
Pd (0.500, 0.500, 0.000)
Pd (0.890, 0.390, 0.500)
Pb (0.227, 0.227, 0.000)
Pb (0.773, 0.773, 0.000)

Principal peaks in the range 2θ from 10° to 90°, in order of falling intensity:
Position (°2θ)  intensity
34.42  100
35.51  25
63.07  17
33.70  15
49.76  10
49.19  10
62.12  10
27.40  8

Ba2Hg2Pb3: theoretical PXRD pattern (Cu Kα (λ = 1.5418 Å)), based on DFT lattice parameters and positions (PBE).
Lines closer than 0.1° are merged.

Cell and atoms:
Lattice parameters (Å, degrees): 6.669 6.669 8.119 108.46 108.46 45.14
Fractional positions:
Ba (0.143, 0.143, 0.281)
Ba (0.857, 0.857, 0.719)
Hg (0.160, 0.160, 0.736)
Hg (0.840, 0.840, 0.264)
Pb (0.393, 0.393, 0.065)
Pb (0.500, 0.500, 0.500)
Pb (0.607, 0.607, 0.935)

Principal peaks in the range 2θ from 10° to 90°, in order of falling intensity:
Position (°2θ)  intensity
32.26  100
28.09  94
35.06  53
28.99  53
31.96  48
15.74  28
37.85  21
38.29  21